Entry 1:
This entry pairs a crystal structure of SmIn3Pt with its computed PXRD pattern. Radiation: Cu Kα X-rays. Structure: a crystal structure in the Materials Project, relaxed with GGA-PBE.
Intensities are scaled so that the largest is 100.

Cell and atoms:
Lattice parameters (Å, degrees): 9.825 9.825 9.825 90.00 90.00 90.00
Space group Pm-3n (No. 223)
Unique sites:
Sm 0.000 0.000 0.000
Sm 0.000 0.250 0.500
In 0.000 0.314 0.153
Pt 0.250 0.250 0.250

Top 10 peaks for 15 to 90 degrees two-theta, low angle first:
18.1°, 4.913 Å, I = 22, hkl 2 0 0
31.5°, 2.836 Å, I = 18, hkl 2 2 2
32.9°, 2.725 Å, I = 100, hkl 3 2 0
34.1°, 2.626 Å, I = 46, hkl 3 2 1
36.6°, 2.456 Å, I = 35, hkl 4 0 0
41.1°, 2.197 Å, I = 29, hkl 4 2 0
45.2°, 2.006 Å, I = 47, hkl 4 2 2
57.9°, 1.594 Å, I = 16, hkl 5 3 2
62.7°, 1.481 Å, I = 26, hkl 6 2 2
83.5°, 1.158 Å, I = 16, hkl 6 6 0

***

Entry 2:
This entry pairs a crystal structure of Sr2InPt2 with its computed PXRD pattern. Radiation: Cu Kα X-rays. Structure: a crystal structure in the Materials Project, relaxed with GGA-PBE.
Intensities are scaled so that the largest is 100.

Cell and atoms:
Lattice parameters (Å, degrees): 10.494 6.058 8.355 90.00 103.28 90.00
Space group C2/c (No. 15)
Unique sites:
Sr 0.148 0.142 0.147
In 0.000 0.367 0.750
Pt 0.139 0.361 0.502

Top 10 peaks for 15 to 90 degrees two-theta, low angle first:
17.0°, 5.211 Å, I = 68, hkl 1 1 0
21.3°, 4.171 Å, I = 46, hkl 1 1 1
31.5°, 2.839 Å, I = 36, hkl 0 2 1
33.6°, 2.665 Å, I = 55, hkl 3 1 -2
34.2°, 2.624 Å, I = 40, hkl 3 1 1
34.9°, 2.570 Å, I = 63, hkl 2 2 -1
35.5°, 2.529 Å, I = 73, hkl 1 1 -3
37.0°, 2.428 Å, I = 50, hkl 4 0 -2
37.5°, 2.401 Å, I = 100, hkl 2 2 1
61.2°, 1.514 Å, I = 47, hkl 0 4 0

***

Entry 3:
This entry pairs a crystal structure of TbInPt2 with its computed PXRD pattern. Radiation: Cu Kα X-rays. Structure: a crystal structure in the Materials Project, relaxed with GGA-PBE.
Intensities are scaled so that the largest is 100.

Cell and atoms:
Lattice parameters (Å, degrees): 4.5903 4.5903 9.1454 90.00 90.00 120.00
Space group P6_3/mmc (No. 194)
Unique sites:
Tb 0.3333 0.6667 0.2500
In 0.0000 0.0000 0.0000
Pt 0.3333 0.6667 0.5922

Top 10 peaks for 15 to 90 degrees two-theta, low angle first:
22.4°, 3.975 Å, I = 20, hkl 1 0 0
29.8°, 3.000 Å, I = 12, hkl 1 0 2
37.2°, 2.419 Å, I = 100, hkl 1 0 3
39.3°, 2.295 Å, I = 87, hkl 1 1 0
55.2°, 1.665 Å, I = 32, hkl 2 0 3
65.6°, 1.423 Å, I = 12, hkl 1 0 6
69.8°, 1.348 Å, I = 32, hkl 2 1 3
71.2°, 1.325 Å, I = 15, hkl 3 0 0
74.8°, 1.270 Å, I = 10, hkl 1 1 6
84.4°, 1.148 Å, I = 10, hkl 2 2 0

***

What is the formula in the second record? Sr2InPt2